Calculated powder diffractogram
Compound: Li2Ni3O6
Radiation: Cu Kα X-rays
Structure: a DFT-relaxed cell (GGA+U, Alexandria)
Intensities are scaled so that the largest is 100.

```
22
Lattice="4.1846 -2.5200 0.0000 4.1846 2.5200 0.0000 -2.6198 0.0000 9.8074" Properties=species:S:1:pos:R:3 pbc="T T T"
Li 2.8747 2.0216 4.9037
Li 2.8202 0.5478 0.0006
Li 1.5103 -0.5478 4.9043
Li 4.1846 -2.0216 0.0000
Ni 0.1571 0.3599 2.5335
Ni -1.1528 -0.3599 7.4372
Ni 2.9436 0.3472 2.5453
Ni 1.6337 -0.3472 7.4491
Ni 5.7361 0.3550 2.4494
Ni 4.4262 -0.3550 7.3531
O 1.5675 1.0733 3.5726
O 0.2123 0.3240 6.3639
O 1.5925 1.4732 8.4508
O 1.5222 -0.3240 1.4602
O 4.3616 1.2677 3.5060
O 2.9966 0.5215 6.4394
O 0.2576 -1.0733 8.4764
O 4.3065 -0.5215 1.5357
O 2.9024 -1.4732 3.5471
O 5.8820 0.3917 6.3553
O 3.0517 -1.2677 8.4097
O 7.1919 -0.3917 1.4516
```

Largest 6 diffraction maxima, in order of rising 2θ, 2θ from 10° to 90°:
d = 4.904 Å, intensity 100; d = 2.441 Å, intensity 16; d = 2.377 Å, intensity 12; d = 2.360 Å, intensity 13; d = 1.970 Å, intensity 15; d = 1.942 Å, intensity 14